No. 1
Diffraction record for Zr3Si4Ni2. The X-ray diffraction stick pattern is calculated, not measured: it uses a structure optimized by DFT (GGA-PBE) and Cu Kα, 1.54184 Å.
No peak broadening, texture or thermal motion is included.

Main lines, by angle (2θ = 15–90°):
2θ (°)	I/Imax
26.01	262
32.52	196
35.94	188
36.91	411
37.08	1000
45.60	362
46.06	306
60.43	185

Cell and atoms:
abc: 5.2573 5.2573 7.7170
angles: 107.39 107.39 44.03
Fractional coordinates of all 9 atoms:
Zr: 0.0000 0.0000 0.0000
Zr: 0.3712 0.3712 0.3064
Zr: 0.6288 0.6288 0.6936
Si: 0.0957 0.0957 0.4178
Si: 0.2806 0.2806 0.9310
Si: 0.7194 0.7194 0.0690
Si: 0.9043 0.9043 0.5822
Ni: 0.3317 0.3317 0.6684
Ni: 0.6683 0.6683 0.3316

---

No. 2
Diffraction record for Zr2Si4Ni3. The X-ray diffraction stick pattern is calculated, not measured: it uses a structure optimized by DFT (GGA-PBE) and Cu Kα, 1.54184 Å.
No peak broadening, texture or thermal motion is included.

Main lines, by angle (2θ = 15–90°):
2θ (°)	I/Imax
28.90	306
36.82	503
39.13	1000
41.33	456
43.48	716
64.76	224
67.84	192
78.31	227

Cell and atoms:
abc: 7.3872 7.3872 6.9065
angles: 90.00 90.00 138.66
Fractional coordinates of all 18 atoms:
Zr: 0.1043 0.8957 0.9015
Zr: 0.3957 0.6043 0.4015
Zr: 0.6043 0.3957 0.5985
Zr: 0.8957 0.1043 0.0985
Si: 0.1826 0.8174 0.5232
Si: 0.1889 0.3111 0.7500
Si: 0.3111 0.1889 0.2500
Si: 0.3174 0.6826 0.0232
Si: 0.6826 0.3174 0.9768
Si: 0.6889 0.8111 0.7500
Si: 0.8111 0.6889 0.2500
Si: 0.8174 0.1826 0.4768
Ni: 0.0000 0.0000 0.5000
Ni: 0.0230 0.4770 0.7500
Ni: 0.4770 0.0230 0.2500
Ni: 0.5000 0.5000 0.0000
Ni: 0.5230 0.9770 0.7500
Ni: 0.9770 0.5230 0.2500

---

No. 3
Diffraction record for SmNi11. The X-ray diffraction stick pattern is calculated, not measured: it uses a structure optimized by DFT (GGA-PBE) and Cu Kα, 1.54184 Å.
No peak broadening, texture or thermal motion is included.

Main lines, by angle (2θ = 15–90°):
2θ (°)	I/Imax
36.04	403
40.94	1000
41.25	726
44.25	327
47.08	153
48.72	439
50.85	302
74.98	261

Cell and atoms:
abc: 7.6002 7.6002 7.6002
angles: 99.83 99.83 131.20
Fractional coordinates of all 24 atoms:
Sm: 0.3750 0.6250 0.7500
Sm: 0.6250 0.3750 0.2500
Ni: 0.0000 0.0000 0.0000
Ni: 0.0000 0.0000 0.5000
Ni: 0.0000 0.5000 0.0000
Ni: 0.1250 0.8750 0.2500
Ni: 0.1375 0.5591 0.3307
Ni: 0.1375 0.8068 0.5783
Ni: 0.1932 0.2716 0.3307
Ni: 0.1932 0.8625 0.9217
Ni: 0.2716 0.1932 0.8307
Ni: 0.2716 0.4409 0.0783
Ni: 0.4409 0.2716 0.5783
Ni: 0.4409 0.8625 0.1693
Ni: 0.5000 0.0000 0.5000
Ni: 0.5591 0.1375 0.8307
Ni: 0.5591 0.7284 0.4217
Ni: 0.7284 0.5591 0.9217
Ni: 0.7284 0.8068 0.1693
Ni: 0.8068 0.1375 0.0783
Ni: 0.8068 0.7284 0.6693
Ni: 0.8625 0.1932 0.4217
Ni: 0.8625 0.4409 0.6693
Ni: 0.8750 0.1250 0.7500

---

No. 4
Diffraction record for Sm3Ni2. The X-ray diffraction stick pattern is calculated, not measured: it uses a structure optimized by DFT (GGA-PBE) and Cu Kα, 1.54184 Å.
No peak broadening, texture or thermal motion is included.

Main lines, by angle (2θ = 15–90°):
2θ (°)	I/Imax
25.87	200
28.13	210
32.67	567
34.74	1000
36.91	557
46.54	187
55.86	209
60.83	257

Cell and atoms:
abc: 7.7009 7.7009 3.9029
angles: 90.00 90.00 90.00
Fractional coordinates of all 10 atoms:
Sm: 0.0000 0.0000 0.0000
Sm: 0.1662 0.3338 0.5000
Sm: 0.3338 0.8338 0.5000
Sm: 0.5000 0.5000 0.0000
Sm: 0.6662 0.1662 0.5000
Sm: 0.8338 0.6662 0.5000
Ni: 0.1189 0.6189 0.0000
Ni: 0.3811 0.1189 0.0000
Ni: 0.6189 0.8811 0.0000
Ni: 0.8811 0.3811 0.0000

---

No. 5
Diffraction record for SmNi12. The X-ray diffraction stick pattern is calculated, not measured: it uses a structure optimized by DFT (GGA-PBE) and Cu Kα, 1.54184 Å.
No peak broadening, texture or thermal motion is included.

Main lines, by angle (2θ = 15–90°):
2θ (°)	I/Imax
30.80	196
37.91	284
44.00	1000
44.29	455
49.50	158
49.77	212
73.10	125
80.86	133

Cell and atoms:
abc: 6.2853 6.2853 6.2853
angles: 98.08 98.08 135.97
Fractional coordinates of all 13 atoms:
Sm: 0.0000 0.0000 0.0000
Ni: 0.0000 0.0000 0.5000
Ni: 0.0000 0.3552 0.3552
Ni: 0.0000 0.5000 0.0000
Ni: 0.0000 0.6448 0.6448
Ni: 0.2727 0.5000 0.7727
Ni: 0.3552 0.0000 0.3552
Ni: 0.5000 0.0000 0.0000
Ni: 0.5000 0.2727 0.7727
Ni: 0.5000 0.5000 0.5000
Ni: 0.5000 0.7273 0.2273
Ni: 0.6448 0.0000 0.6448
Ni: 0.7273 0.5000 0.2273

---

No. 6
Diffraction record for Sm3Ni6Sn4. The X-ray diffraction stick pattern is calculated, not measured: it uses a structure optimized by DFT (GGA-PBE) and Cu Kα, 1.54184 Å.
No peak broadening, texture or thermal motion is included.

Main lines, by angle (2θ = 15–90°):
2θ (°)	I/Imax
25.96	285
32.91	178
33.37	1000
36.90	248
40.41	634
43.25	261
64.52	191
69.03	166

Cell and atoms:
abc: 8.9282 8.9282 7.4623
angles: 90.00 90.00 120.00
Fractional coordinates of all 26 atoms:
Sm: 0.0460 0.5230 0.0000
Sm: 0.4770 0.5230 0.0000
Sm: 0.4770 0.9540 0.0000
Sm: 0.5230 0.0460 0.5000
Sm: 0.5230 0.4770 0.5000
Sm: 0.9540 0.4770 0.5000
Ni: 0.0936 0.1872 0.0155
Ni: 0.0936 0.9064 0.0155
Ni: 0.1658 0.3316 0.3381
Ni: 0.1658 0.8342 0.3381
Ni: 0.1872 0.0936 0.5155
Ni: 0.3316 0.1658 0.8381
Ni: 0.6684 0.8342 0.3381
Ni: 0.8128 0.9064 0.0155
Ni: 0.8342 0.1658 0.8381
Ni: 0.8342 0.6684 0.8381
Ni: 0.9064 0.0936 0.5155
Ni: 0.9064 0.8128 0.5155
Sn: 0.1614 0.3228 0.7054
Sn: 0.1614 0.8386 0.7054
Sn: 0.3228 0.1614 0.2054
Sn: 0.3333 0.6667 0.3059
Sn: 0.6667 0.3333 0.8059
Sn: 0.6772 0.8386 0.7054
Sn: 0.8386 0.1614 0.2054
Sn: 0.8386 0.6772 0.2054

---

No. 7
Diffraction record for SmNiSn2. The X-ray diffraction stick pattern is calculated, not measured: it uses a structure optimized by DFT (GGA-PBE) and Cu Kα, 1.54184 Å.
No peak broadening, texture or thermal motion is included.

Main lines, by angle (2θ = 15–90°):
2θ (°)	I/Imax
28.11	427
31.74	324
32.61	1000
36.64	359
36.76	336
40.11	426
55.44	218
65.91	275

Cell and atoms:
abc: 10.0858 10.0858 10.0858
angles: 154.24 125.21 61.50
Fractional coordinates of all 16 atoms:
Sm: 0.2055 0.2055 0.0000
Sm: 0.2362 0.0000 0.2362
Sm: 0.7638 0.0000 0.7638
Sm: 0.7945 0.7945 0.0000
Ni: 0.0982 0.3517 0.7465
Ni: 0.3948 0.6483 0.7465
Ni: 0.6052 0.3517 0.2535
Ni: 0.9018 0.6483 0.2535
Sn: 0.0805 0.5805 0.5000
Sn: 0.1411 0.8042 0.3369
Sn: 0.4160 0.4160 0.0000
Sn: 0.4673 0.8042 0.6631
Sn: 0.5327 0.1958 0.3369
Sn: 0.5840 0.5840 0.0000
Sn: 0.8589 0.1958 0.6631
Sn: 0.9195 0.4195 0.5000

---

No. 8
Diffraction record for Sm5Ni2Te2. The X-ray diffraction stick pattern is calculated, not measured: it uses a structure optimized by DFT (GGA-PBE) and Cu Kα, 1.54184 Å.
No peak broadening, texture or thermal motion is included.

Main lines, by angle (2θ = 15–90°):
2θ (°)	I/Imax
25.45	508
30.60	641
32.27	933
32.64	852
34.25	1000
36.60	739
36.79	743
38.33	542

Cell and atoms:
abc: 8.8072 8.8072 7.8654
angles: 90.00 90.00 52.68
Fractional coordinates of all 18 atoms:
Sm: 0.0000 0.0000 0.0000
Sm: 0.0389 0.7232 0.6591
Sm: 0.2232 0.5389 0.1591
Sm: 0.2768 0.9611 0.6591
Sm: 0.4611 0.7768 0.1591
Sm: 0.5000 0.5000 0.5000
Sm: 0.5389 0.2232 0.8409
Sm: 0.7232 0.0389 0.3409
Sm: 0.7768 0.4611 0.8409
Sm: 0.9611 0.2768 0.3409
Ni: 0.1323 0.8677 0.3733
Ni: 0.3677 0.6323 0.8733
Ni: 0.6323 0.3677 0.1267
Ni: 0.8677 0.1323 0.6267
Te: 0.2062 0.2062 0.0000
Te: 0.2938 0.2938 0.5000
Te: 0.7062 0.7062 0.5000
Te: 0.7938 0.7938 0.0000

---

No. 9
Diffraction record for SmThNi4. The X-ray diffraction stick pattern is calculated, not measured: it uses a structure optimized by DFT (GGA-PBE) and Cu Kα, 1.54184 Å.
No peak broadening, texture or thermal motion is included.

Main lines, by angle (2θ = 15–90°):
2θ (°)	I/Imax
25.22	256
34.71	1000
44.31	133
44.49	263
47.99	105
57.52	156
67.50	148
80.76	87

Cell and atoms:
abc: 3.7914 4.0882 7.0458
angles: 90.00 90.00 90.00
Fractional coordinates of all 6 atoms:
Sm: 0.0000 0.0000 0.0000
Th: 0.0000 0.5000 0.5000
Ni: 0.5000 0.0000 0.3332
Ni: 0.5000 0.0000 0.6668
Ni: 0.5000 0.5000 0.1675
Ni: 0.5000 0.5000 0.8325

---

No. 10
Diffraction record for Sm6TlNi2. The X-ray diffraction stick pattern is calculated, not measured: it uses a structure optimized by DFT (GGA-PBE) and Cu Kα, 1.54184 Å.
No peak broadening, texture or thermal motion is included.

Main lines, by angle (2θ = 15–90°):
2θ (°)	I/Imax
29.77	327
31.20	1000
33.21	604
33.32	294
33.94	255
34.75	180
38.17	165
58.94	338

Cell and atoms:
abc: 8.6283 8.6283 8.6283
angles: 113.74 108.76 106.00
Fractional coordinates of all 18 atoms:
Sm: 0.0263 0.2299 0.7964
Sm: 0.1834 0.2946 0.4781
Sm: 0.1834 0.7054 0.8888
Sm: 0.3231 0.0139 0.6908
Sm: 0.3231 0.6323 0.3092
Sm: 0.4335 0.2299 0.2036
Sm: 0.5665 0.7701 0.7964
Sm: 0.6769 0.3677 0.6908
Sm: 0.6769 0.9861 0.3092
Sm: 0.8166 0.2946 0.1112
Sm: 0.8166 0.7054 0.5219
Sm: 0.9737 0.7701 0.2036
Tl: 0.0000 0.0000 0.0000
Tl: 0.5000 0.5000 0.0000
Ni: 0.1207 0.6207 0.5000
Ni: 0.3597 0.0000 0.3597
Ni: 0.6403 0.0000 0.6403
Ni: 0.8793 0.3793 0.5000

---

No. 11
Diffraction record for Sm12TlNi5. The X-ray diffraction stick pattern is calculated, not measured: it uses a structure optimized by DFT (GGA-PBE) and Cu Kα, 1.54184 Å.
No peak broadening, texture or thermal motion is included.

Main lines, by angle (2θ = 15–90°):
2θ (°)	I/Imax
28.00	293
28.64	355
29.48	421
31.53	1000
33.76	693
33.92	703
34.72	404
58.86	350

Cell and atoms:
abc: 8.5215 8.5215 8.5215
angles: 111.82 109.59 107.04
Fractional coordinates of all 18 atoms:
Sm: 0.0179 0.2077 0.8102
Sm: 0.1812 0.2985 0.4796
Sm: 0.1812 0.7015 0.8827
Sm: 0.3221 0.0156 0.6935
Sm: 0.3221 0.6285 0.3065
Sm: 0.3976 0.2077 0.1898
Sm: 0.6024 0.7923 0.8102
Sm: 0.6779 0.3715 0.6935
Sm: 0.6779 0.9844 0.3065
Sm: 0.8188 0.2985 0.1173
Sm: 0.8188 0.7015 0.5204
Sm: 0.9821 0.7923 0.1898
Tl: 0.5000 0.5000 0.0000
Ni: 0.0000 0.0000 0.0000
Ni: 0.1237 0.6237 0.5000
Ni: 0.3682 0.0000 0.3682
Ni: 0.6318 0.0000 0.6318
Ni: 0.8763 0.3763 0.5000

---

No. 12
Diffraction record for SmTm3Ni. The X-ray diffraction stick pattern is calculated, not measured: it uses a structure optimized by DFT (GGA-PBE) and Cu Kα, 1.54184 Å.
No peak broadening, texture or thermal motion is included.

Main lines, by angle (2θ = 15–90°):
2θ (°)	I/Imax
29.84	411
30.40	312
30.63	273
30.98	540
32.78	539
33.01	1000
35.24	476
50.25	257

Cell and atoms:
abc: 6.7286 6.7286 11.5827
angles: 94.28 94.28 30.94
Fractional coordinates of all 10 atoms:
Sm: 0.1646 0.1646 0.4043
Sm: 0.8354 0.8354 0.5957
Tm: 0.0383 0.0383 0.1376
Tm: 0.2282 0.2282 0.8648
Tm: 0.4273 0.4273 0.3576
Tm: 0.5727 0.5727 0.6424
Tm: 0.7718 0.7718 0.1352
Tm: 0.9617 0.9617 0.8624
Ni: 0.4005 0.4005 0.0343
Ni: 0.5995 0.5995 0.9657

---

Number 3 is which compound? SmNi11